No. 1
This entry pairs a crystal structure of NaLi2As2Pb with its theoretical powder diffractogram. Radiation: Cu Kα, 1.54184 Å. Structure: DFT lattice parameters and positions (GGA-PBE).

Atomic structure:
```
NaLi2As2Pb
1.0
4.5195 0.0000 0.0000
-2.2598 3.9140 0.0000
0.0000 0.0000 7.0413
Na Li As Pb
1 2 2 1
Cartesian
0.0000 0.0000 0.0000
0.0000 2.6094 1.3674
2.2598 1.3047 5.6739
0.0000 2.6094 5.4283
2.2598 1.3047 1.6130
0.0000 0.0000 3.5206
```

Peak list (10 most intense, 5° ≤ 2θ ≤ 70°, in order of rising 2θ)
Position (°2θ), d/Å, I_rel
12.57, 7.041, 38
22.72, 3.914, 28
26.05, 3.421, 100
34.26, 2.618, 91
39.89, 2.260, 49
48.27, 1.886, 19
53.58, 1.711, 26
64.35, 1.448, 17
67.44, 1.389, 18
68.84, 1.364, 24



No. 2
This entry pairs a crystal structure of NaLiAsS2 with its theoretical powder diffractogram. Radiation: Cu Kα, 1.54184 Å. Structure: DFT lattice parameters and positions (GGA-PBE).

Atomic structure:
```
NaLiAsS2
1.0
2.5954 -6.4418 0.0000
2.5954 6.4418 0.0000
0.0000 0.0000 6.3127
Na Li As S
2 2 2 4
Cartesian
2.5954 3.2209 5.0215
2.5954 -3.2209 1.2911
1.2977 0.0000 0.0000
3.8931 0.0000 0.0000
0.0000 0.0000 3.1563
2.5954 0.0000 3.1563
2.5954 4.8390 1.3462
2.5954 1.6028 1.3462
2.5954 -1.6028 4.9665
2.5954 -4.8390 4.9665
```

Peak list (10 most intense, 5° ≤ 2θ ≤ 70°, in order of rising 2θ)
Position (°2θ), d/Å, I_rel
13.75, 6.442, 64
14.03, 6.313, 40
19.69, 4.509, 100
30.50, 2.931, 54
31.17, 2.869, 33
31.57, 2.834, 52
34.56, 2.595, 51
40.04, 2.252, 77
47.22, 1.925, 27
47.50, 1.914, 26



No. 3
This entry pairs a crystal structure of Na3LiAs2Se6 with its theoretical powder diffractogram. Radiation: Cu Kα, 1.54184 Å. Structure: DFT lattice parameters and positions (GGA-PBE).

Atomic structure:
```
Na3LiAs2Se6
1.0
3.3446 -5.8020 0.0000
3.3446 5.8020 0.0000
-2.2513 0.0000 7.0683
Na Li As Se
3 1 2 6
Cartesian
0.0000 0.0000 0.0000
3.3446 1.9644 0.0000
3.3446 -1.9644 0.0000
2.2190 0.0000 3.5342
2.2190 3.8609 3.5342
2.2190 -3.8609 3.5342
1.0741 1.9927 2.0472
-0.0866 0.0000 5.0486
1.0741 -1.9927 2.0472
3.3638 1.9927 5.0211
4.5246 0.0000 2.0197
3.3638 -1.9927 5.0211
```

Peak list (10 most intense, 5° ≤ 2θ ≤ 70°, in order of rising 2θ)
Position (°2θ), d/Å, I_rel
12.52, 7.068, 26
27.95, 3.192, 16
31.61, 2.830, 100
40.15, 2.246, 13
43.51, 2.080, 22
43.64, 2.074, 11
47.02, 1.932, 34
54.92, 1.672, 6
57.72, 1.597, 11
66.06, 1.414, 8



No. 4
This entry pairs a crystal structure of LiNbAs3 with its theoretical powder diffractogram. Radiation: Cu Kα, 1.54184 Å. Structure: DFT lattice parameters and positions (GGA-PBE).

Atomic structure:
```
LiNbAs3
1.0
5.0286 0.0000 0.0000
0.0000 5.0286 0.0000
0.0000 0.0000 5.0286
Li Nb As
1 1 3
Cartesian
0.0000 0.0000 0.0000
2.5143 2.5143 2.5143
0.0000 2.5143 2.5143
2.5143 0.0000 2.5143
2.5143 2.5143 0.0000
```

Peak list (10 most intense, 5° ≤ 2θ ≤ 70°, in order of rising 2θ)
Position (°2θ), d/Å, I_rel
17.64, 5.029, 100
25.04, 3.556, 2
30.80, 2.903, 24
35.71, 2.514, 66
40.10, 2.249, 48
51.39, 1.778, 46
54.76, 1.676, 24
61.12, 1.516, 10
64.16, 1.452, 15
67.11, 1.395, 10



No. 5
This entry pairs a crystal structure of LiNdAs2 with its theoretical powder diffractogram. Radiation: Cu Kα, 1.54184 Å. Structure: DFT lattice parameters and positions (GGA-PBE).

Atomic structure:
```
LiNdAs2
1.0
3.9786 0.0000 0.0000
0.0000 3.9786 0.0000
0.0000 0.0000 10.7067
Li Nd As
2 2 4
Cartesian
0.9947 2.9840 0.0000
2.9840 0.9947 0.0000
0.9947 0.9947 2.8944
2.9840 2.9840 7.8123
0.9947 0.9947 9.0085
0.9947 2.9840 5.3533
2.9840 0.9947 5.3533
2.9840 2.9840 1.6982
```

Peak list (10 most intense, 5° ≤ 2θ ≤ 70°, in order of rising 2θ)
Position (°2θ), d/Å, I_rel
8.26, 10.707, 27
16.56, 5.353, 20
23.86, 3.729, 27
27.94, 3.193, 35
31.81, 2.813, 21
33.74, 2.657, 39
36.07, 2.490, 100
40.62, 2.221, 18
45.60, 1.989, 37
48.27, 1.886, 25



No. 6
This entry pairs a crystal structure of LiNi12As6 with its theoretical powder diffractogram. Radiation: Cu Kα, 1.54184 Å. Structure: DFT lattice parameters and positions (GGA-PBE).

Atomic structure:
```
LiNi12As6
1.0
5.3491 3.0883 2.7112
-5.3491 3.0883 2.7112
0.0000 -6.1766 2.7112
Li Ni As
1 12 6
Cartesian
0.0000 0.0000 0.0000
-2.0141 -3.4886 4.0669
-4.0282 0.0000 4.0669
-1.4291 -0.8251 2.8025
1.4291 -0.8251 2.8025
0.0000 1.6502 2.8025
2.0141 -3.4886 4.0669
-2.0141 3.4886 4.0669
0.0000 -1.6502 5.3312
-1.4291 0.8251 5.3312
1.4291 0.8251 5.3312
4.0282 0.0000 4.0669
2.0141 3.4886 4.0669
0.0000 -2.7294 3.2079
-2.3637 1.3647 3.2079
-2.3637 -1.3647 4.9258
2.3637 1.3647 3.2079
2.3637 -1.3647 4.9258
0.0000 2.7294 4.9258
```

Peak list (10 most intense, 5° ≤ 2θ ≤ 70°, in order of rising 2θ)
Position (°2θ), d/Å, I_rel
14.49, 6.112, 80
16.57, 5.349, 97
36.68, 2.450, 87
37.18, 2.418, 31
44.03, 2.056, 87
44.47, 2.037, 100
44.83, 2.022, 34
45.04, 2.013, 81
48.92, 1.862, 43
54.41, 1.686, 61



Please write out number 4 again, unchanged.
This entry pairs a crystal structure of LiNbAs3 with its theoretical powder diffractogram. Radiation: Cu Kα, 1.54184 Å. Structure: DFT lattice parameters and positions (GGA-PBE).

Atomic structure:
```
LiNbAs3
1.0
5.0286 0.0000 0.0000
0.0000 5.0286 0.0000
0.0000 0.0000 5.0286
Li Nb As
1 1 3
Cartesian
0.0000 0.0000 0.0000
2.5143 2.5143 2.5143
0.0000 2.5143 2.5143
2.5143 0.0000 2.5143
2.5143 2.5143 0.0000
```

Peak list (10 most intense, 5° ≤ 2θ ≤ 70°, in order of rising 2θ)
Position (°2θ), d/Å, I_rel
17.64, 5.029, 100
25.04, 3.556, 2
30.80, 2.903, 24
35.71, 2.514, 66
40.10, 2.249, 48
51.39, 1.778, 46
54.76, 1.676, 24
61.12, 1.516, 10
64.16, 1.452, 15
67.11, 1.395, 10